[1]
Starting from a PBE-relaxed structure, the XRD peak list of BaNaErF6 was calculated for Cu Kα, 1.54184 Å.
Neutral-atom scattering factors, no anomalous dispersion.

Structural model:
Lattice parameters (Å, degrees): 5.9442 5.9442 11.0708 90.00 90.00 120.00
Space group P-31c (No. 163)
One atom of each set of equivalent atoms:
Ba (0.0000, 0.0000, 0.0000) (multiplicity 2)
Na (0.3333, 0.6667, 0.2500) (multiplicity 2)
Er (0.3333, 0.6667, 0.7500) (multiplicity 2)
F (0.0218, 0.3692, 0.6422) (multiplicity 12)

Peak list (12 most intense, 5 to 70 degrees two-theta, in order of falling intensity)
h k l, 2theta, d (Å), I_rel
1 0 2, 23.6, 3.770, 100.0
1 0 1, 19.0, 4.668, 52.4
1 1 4, 44.7, 2.025, 47.9
1 1 0, 30.1, 2.972, 35.7
2 1 2, 49.7, 1.836, 26.1
2 0 2, 38.6, 2.334, 26.0
3 0 0, 53.4, 1.716, 17.6
1 0 3, 29.8, 2.999, 14.6
0 0 8, 67.8, 1.383, 13.2
1 0 6, 52.7, 1.737, 10.4
1 1 2, 34.2, 2.619, 8.5
2 1 1, 47.4, 1.916, 8.1

***

[2]
Starting from a PBE-relaxed structure, the XRD peak list of NdSm7Sc4 was calculated for Cu Kα, 1.54184 Å.
Neutral-atom scattering factors, no anomalous dispersion.

Structural model:
Lattice parameters (Å, degrees): 6.1327 7.0894 8.6947 90.03 103.65 90.04
Space group P-1 (No. 2)
One atom of each set of equivalent atoms:
Nd (0.0000, 0.0000, 0.0000) (multiplicity 1)
Sm (0.0000, 0.5000, 0.0000) (multiplicity 1)
Sm (0.2255, 0.0004, 0.6629) (multiplicity 2)
Sm (0.2871, 0.7431, 0.3410) (multiplicity 2)
Sm (0.4986, 0.2575, 0.0077) (multiplicity 2)
Sc (0.2136, 0.4989, 0.6591) (multiplicity 2)
Sc (0.2725, 0.2594, 0.3375) (multiplicity 2)

Peak list (12 most intense, 5 to 70 degrees two-theta, in order of falling intensity)
h k l, 2theta, d (Å), I_rel
1 2 1, 32.4, 2.761, 100.0
1 2 -2, 34.2, 2.625, 95.0
1 -2 0, 29.3, 3.046, 52.3
0 0 3, 31.8, 2.816, 48.5
3 2 -1, 51.6, 1.771, 36.6
3 2 -4, 61.9, 1.500, 35.0
1 2 -5, 59.3, 1.559, 20.4
1 2 4, 55.9, 1.645, 19.6
1 -2 3, 46.5, 1.954, 18.0
-1 2 3, 40.9, 2.204, 16.5
2 -4 1, 63.3, 1.468, 15.4
-2 4 2, 62.3, 1.491, 14.8

***

[3]
Starting from a PBE-relaxed structure, the XRD peak list of Ac2WN5 was calculated for Cu Kα, 1.54184 Å.
Neutral-atom scattering factors, no anomalous dispersion.

Structural model:
Lattice parameters (Å, degrees): 5.7254 5.7254 3.9420 90.00 90.00 90.00
Space group P4/mmm (No. 123)
One atom of each set of equivalent atoms:
Ac (0.0000, 0.5000, 0.0000) (multiplicity 2)
W (0.0000, 0.0000, 0.5000) (multiplicity 1)
N (0.0000, 0.0000, 0.0000) (multiplicity 1)
N (0.2490, 0.2490, 0.5000) (multiplicity 4)

Peak list (12 most intense, 5 to 70 degrees two-theta, in order of falling intensity)
h k l, 2theta, d (Å), I_rel
1 1 1, 31.7, 2.824, 100.0
2 0 0, 31.2, 2.863, 47.1
3 1 1, 55.9, 1.645, 41.9
1 0 0, 15.5, 5.725, 29.5
2 2 0, 44.8, 2.024, 24.8
1 1 0, 22.0, 4.048, 19.7
2 0 2, 56.7, 1.623, 18.7
2 0 1, 38.9, 2.316, 16.6
2 2 2, 66.2, 1.412, 15.3
0 0 2, 46.0, 1.971, 11.4
1 0 1, 27.5, 3.247, 10.8
4 0 0, 65.2, 1.431, 8.0

***

Which formula does entry 1 have? BaNaErF6